The following is a simulated powder XRD pattern of PrTh3Zn4. It was derived from a cell relaxed with PBE, using a wavelength of 1.5418 Å.
Peak positions follow from Bragg's law for the DFT cell and can differ from measured ones.

Structure:
```
PrTh3Zn4
1.0
3.666 0.000 0.000
0.000 5.206 0.000
0.000 0.000 10.414
Pr Th Zn
1 3 4
Direct
0.000 0.000 0.000 Pr
0.000 0.000 0.500 Th
0.000 0.500 0.251 Th
0.000 0.500 0.749 Th
0.500 0.000 0.250 Zn
0.500 0.000 0.750 Zn
0.500 0.500 0.000 Zn
0.500 0.500 0.500 Zn
```

Largest 12 diffraction maxima, sorted by position, 10 to 90 degrees two-theta:
d (Å)	Position (°2θ)	I (rel.)	hkl
3.682	24.17	18	0 1 2
3.666	24.28	9	1 0 0
2.600	34.50	100	1 1 2
2.123	42.59	9	1 2 0
1.841	49.52	12	0 2 4
1.833	49.74	6	2 0 0
1.646	55.86	8	1 2 4
1.502	61.76	25	1 3 2
1.499	61.91	12	2 2 0
1.299	72.82	8	2 2 4
1.164	82.95	11	1 3 6
1.160	83.32	5	3 1 2